Computed powder X-ray diffraction pattern of KLaS2O9 for Cu Kα, 1.54184 Å, from a crystal structure in the Materials Project, relaxed with PBE.
Intensities are scaled so that the largest is 100.

The 10 most intense peaks (2θ = 15–90°), most intense first:
Position (°2θ), I (rel.)
30.12, 100
28.14, 97
15.45, 91
46.55, 62
24.31, 58
39.93, 38
51.05, 32
36.31, 27
19.25, 20
49.84, 19

```
KLaS2O9
1.0
7.324 0.000 0.000
-3.662 6.343 0.000
0.000 0.000 13.430
K La S O
3 3 6 27
Direct
0.000 0.449 0.167 K
0.449 0.000 0.833 K
0.551 0.551 0.500 K
0.000 0.454 0.667 La
0.454 0.000 0.333 La
0.546 0.546 0.000 La
0.006 0.446 0.906 S
0.440 0.994 0.573 S
0.446 0.006 0.094 S
0.554 0.560 0.239 S
0.560 0.554 0.761 S
0.994 0.440 0.427 S
0.000 0.102 0.667 O
0.102 0.000 0.333 O
0.116 0.627 0.835 O
0.118 0.375 0.492 O
0.135 0.618 0.360 O
0.160 0.422 0.968 O
0.256 0.882 0.159 O
0.262 0.840 0.635 O
0.373 0.489 0.168 O
0.375 0.118 0.508 O
0.382 0.517 0.694 O
0.422 0.160 0.032 O
0.483 0.865 0.027 O
0.489 0.373 0.832 O
0.511 0.884 0.502 O
0.517 0.382 0.306 O
0.578 0.738 0.302 O
0.618 0.135 0.640 O
0.625 0.744 0.825 O
0.627 0.116 0.165 O
0.738 0.578 0.698 O
0.744 0.625 0.175 O
0.840 0.262 0.365 O
0.865 0.483 0.973 O
0.882 0.256 0.841 O
0.884 0.511 0.498 O
0.898 0.898 0.000 O
```



Computed powder X-ray diffraction pattern of KLaTbSbO6 for Cu Kα, 1.54184 Å, from a crystal structure in the Materials Project, relaxed with PBE.
Intensities are scaled so that the largest is 100.

The 10 most intense peaks (2θ = 15–90°), most intense first:
Position (°2θ), I (rel.)
30.11, 100
53.47, 40
43.10, 31
86.82, 21
62.59, 19
71.01, 17
21.17, 12
18.30, 12
35.46, 8
79.02, 6

```
KLaTbSbO6
1.0
0.000 4.197 4.197
4.197 0.000 4.197
4.197 4.197 0.000
K La Tb Sb O
1 1 1 1 6
Direct
0.000 0.000 0.000 K
0.500 0.500 0.500 La
0.750 0.750 0.750 Tb
0.250 0.250 0.250 Sb
0.013 0.013 0.487 O
0.013 0.487 0.013 O
0.013 0.487 0.487 O
0.487 0.013 0.013 O
0.487 0.013 0.487 O
0.487 0.487 0.013 O
```